# ZrTaSi
Theoretical X-ray diffraction stick pattern, Cu Kα (λ = 1.5418 Å). Input: DFT lattice parameters and positions (PBE).
Peak positions follow from Bragg's law for the DFT cell and can differ from measured ones.

Peak list (10 most intense, 2θ = 5–70°, in order of rising 2θ)
2θ = 10.03°, intensity 75
2θ = 20.14°, intensity 42
2θ = 21.51°, intensity 28
2θ = 36.10°, intensity 74
2θ = 38.50°, intensity 26
2θ = 39.67°, intensity 86
2θ = 39.89°, intensity 100
2θ = 40.97°, intensity 68
2θ = 63.28°, intensity 27
2θ = 66.40°, intensity 33

Structural model:
a b c (Å): 8.816 5.303 5.303
angles (deg): 61.87 90.00 90.00
Fractional positions:
Zr 0.181 0.000 0.000
Zr 0.302 0.665 0.665
Zr 0.698 0.665 0.665
Zr 0.819 0.000 0.000
Ta 0.000 0.494 0.494
Ta 0.500 0.162 0.674
Ta 0.500 0.165 0.165
Ta 0.500 0.674 0.162
Si 0.000 0.506 0.980
Si 0.000 0.980 0.506
Si 0.251 0.336 0.336
Si 0.749 0.336 0.336

***

# Li2VPb2
Theoretical X-ray diffraction stick pattern, Cu Kα (λ = 1.5418 Å). Input: DFT lattice parameters and positions (PBE).
Peak positions follow from Bragg's law for the DFT cell and can differ from measured ones.

Peak list (10 most intense, 2θ = 5–70°, in order of rising 2θ)
2θ = 23.65°, intensity 23
2θ = 24.67°, intensity 41
2θ = 26.48°, intensity 100
2θ = 29.92°, intensity 16
2θ = 34.44°, intensity 45
2θ = 36.51°, intensity 98
2θ = 37.80°, intensity 29
2θ = 49.97°, intensity 23
2θ = 56.51°, intensity 37
2θ = 57.97°, intensity 52

Structural model:
a b c (Å): 7.525 7.525 3.608
angles (deg): 90.00 90.00 90.00
Fractional positions:
Li 0.128 0.372 0.000
Li 0.372 0.872 0.000
Li 0.628 0.128 0.000
Li 0.872 0.628 0.000
V 0.000 0.000 0.000
V 0.500 0.500 0.000
Pb 0.171 0.671 0.500
Pb 0.329 0.171 0.500
Pb 0.671 0.829 0.500
Pb 0.829 0.329 0.500

***

# Cr6C3N
Theoretical X-ray diffraction stick pattern, Cu Kα (λ = 1.5418 Å). Input: DFT lattice parameters and positions (PBE).
Peak positions follow from Bragg's law for the DFT cell and can differ from measured ones.

Peak list (10 most intense, 2θ = 5–70°, in order of rising 2θ)
2θ = 36.06°, intensity 50
2θ = 39.00°, intensity 43
2θ = 42.64°, intensity 49
2θ = 43.45°, intensity 100
2θ = 43.84°, intensity 30
2θ = 45.81°, intensity 49
2θ = 51.37°, intensity 38
2θ = 52.09°, intensity 17
2θ = 66.33°, intensity 21
2θ = 67.27°, intensity 16

Structural model:
a b c (Å): 7.000 4.824 4.824
angles (deg): 33.54 90.00 90.00
Fractional positions:
Cr 0.000 0.000 0.000
Cr 0.170 0.734 0.734
Cr 0.316 0.450 0.450
Cr 0.500 0.207 0.207
Cr 0.684 0.450 0.450
Cr 0.830 0.734 0.734
C 0.000 0.351 0.351
C 0.256 0.095 0.095
C 0.744 0.095 0.095
N 0.500 0.853 0.853

***

# KNdP4O12
Theoretical X-ray diffraction stick pattern, Cu Kα (λ = 1.5418 Å). Input: DFT lattice parameters and positions (PBE).
Peak positions follow from Bragg's law for the DFT cell and can differ from measured ones.

Peak list (10 most intense, 2θ = 5–70°, in order of rising 2θ)
2θ = 13.90°, intensity 52
2θ = 16.53°, intensity 98
2θ = 18.81°, intensity 57
2θ = 23.71°, intensity 30
2θ = 24.13°, intensity 36
2θ = 25.49°, intensity 100
2θ = 27.18°, intensity 37
2θ = 27.46°, intensity 97
2θ = 37.15°, intensity 41
2θ = 48.76°, intensity 30

Structural model:
a b c (Å): 7.494 7.494 10.749
angles (deg): 100.75 100.75 115.41
Fractional positions:
K 0.184 0.816 0.750
K 0.816 0.184 0.250
Nd 0.121 0.879 0.250
Nd 0.879 0.121 0.750
P 0.259 0.305 0.557
P 0.288 0.627 0.000
P 0.305 0.259 0.057
P 0.373 0.712 0.500
P 0.627 0.288 0.500
P 0.695 0.741 0.943
P 0.712 0.373 0.000
P 0.741 0.695 0.443
O 0.092 0.492 0.887
O 0.140 0.168 0.416
O 0.168 0.140 0.916
O 0.189 0.243 0.670
O 0.190 0.696 0.403
O 0.243 0.189 0.170
O 0.282 0.532 0.570
O 0.304 0.810 0.097
O 0.355 0.499 0.086
O 0.468 0.718 0.930
O 0.492 0.092 0.387
O 0.499 0.355 0.586
O 0.501 0.645 0.414
O 0.508 0.908 0.613
O 0.532 0.282 0.070
O 0.645 0.501 0.914
O 0.696 0.190 0.903
O 0.718 0.468 0.430
O 0.757 0.811 0.830
O 0.810 0.304 0.597
O 0.811 0.757 0.330
O 0.832 0.860 0.084
O 0.860 0.832 0.584
O 0.908 0.508 0.113